# NbBi2O5F
Computed X-ray powder pattern, Cu Kα (weighted mean of Kα1 and Kα2). Input: a crystal structure in Alexandria, relaxed with GGA-PBE.
Intensities are scaled so that the largest is 1000.

The 12 most intense peaks (10 to 80 degrees two-theta), sorted by position:
- 2θ = 10.3°, d 8.612, rel. 231
- 2θ = 25.1°, d 3.547, rel. 79
- 2θ = 27.7°, d 3.222, rel. 1000
- 2θ = 31.2°, d 2.871, rel. 187
- 2θ = 32.5°, d 2.752, rel. 287
- 2θ = 34.8°, d 2.580, rel. 132
- 2θ = 45.7°, d 1.987, rel. 233
- 2θ = 46.7°, d 1.946, rel. 135
- 2θ = 53.3°, d 1.717, rel. 153
- 2θ = 55.1°, d 1.666, rel. 208
- 2θ = 57.0°, d 1.614, rel. 83
- 2θ = 57.2°, d 1.611, rel. 87

Structure:
Lattice parameters (Å, degrees): 5.5024 5.5081 17.2242 90.00 90.00 90.00
Element x y z (fractional)
Nb (0.0157, 0.0011, 0.4865)
Nb (0.4843, 0.9989, 0.9865)
Nb (0.5157, 0.4989, 0.5135)
Nb (0.9843, 0.5011, 0.0135)
Bi (0.0142, 0.0632, 0.1761)
Bi (0.0252, 0.4550, 0.6751)
Bi (0.4748, 0.5450, 0.1751)
Bi (0.4858, 0.9368, 0.6761)
Bi (0.5142, 0.4368, 0.8239)
Bi (0.5252, 0.0450, 0.3249)
Bi (0.9748, 0.9550, 0.8249)
Bi (0.9858, 0.5632, 0.3239)
O (0.0799, 0.4769, 0.1195)
O (0.2201, 0.2814, 0.4813)
O (0.2226, 0.2256, 0.9775)
O (0.2408, 0.7134, 0.7525)
O (0.2465, 0.7877, 0.2514)
O (0.2535, 0.2123, 0.7514)
O (0.2592, 0.2866, 0.2525)
O (0.2774, 0.7744, 0.4775)
O (0.2799, 0.7186, 0.9813)
O (0.4200, 0.5231, 0.6195)
O (0.5800, 0.0231, 0.8805)
O (0.7201, 0.2186, 0.5187)
O (0.7226, 0.2744, 0.0225)
O (0.7408, 0.7866, 0.2475)
O (0.7465, 0.7123, 0.7486)
O (0.7535, 0.2877, 0.2486)
O (0.7592, 0.2134, 0.7475)
O (0.7774, 0.7256, 0.5225)
O (0.7799, 0.7814, 0.0187)
O (0.9200, 0.9769, 0.3805)
F (0.0764, 0.0081, 0.6156)
F (0.4236, 0.9919, 0.1156)
F (0.5764, 0.4919, 0.3844)
F (0.9236, 0.5081, 0.8844)

# RbHo5Se8
Computed X-ray powder pattern, Cu Kα (weighted mean of Kα1 and Kα2). Input: a crystal structure in Alexandria, relaxed with GGA-PBE.
Intensities are scaled so that the largest is 1000.

The 12 most intense peaks (10 to 80 degrees two-theta), sorted by position:
- 2θ = 10.8°, d 8.163, rel. 293
- 2θ = 17.4°, d 5.096, rel. 234
- 2θ = 25.2°, d 3.536, rel. 223
- 2θ = 27.9°, d 3.196, rel. 1000
- 2θ = 29.4°, d 3.043, rel. 203
- 2θ = 32.9°, d 2.721, rel. 202
- 2θ = 33.2°, d 2.702, rel. 262
- 2θ = 35.0°, d 2.564, rel. 528
- 2θ = 35.6°, d 2.520, rel. 239
- 2θ = 40.0°, d 2.252, rel. 330
- 2θ = 43.8°, d 2.065, rel. 381
- 2θ = 44.3°, d 2.046, rel. 628

Structure:
Lattice parameters (Å, degrees): 10.7977 10.7977 10.0762 104.20 104.20 22.05
Element x y z (fractional)
Rb (0.0000, 0.0000, 0.0000)
Ho (0.1554, 0.1554, 0.4519)
Ho (0.2037, 0.2037, 0.8406)
Ho (0.5001, 0.5001, 0.4993)
Ho (0.7965, 0.7965, 0.1578)
Ho (0.8449, 0.8449, 0.5466)
Se (0.0784, 0.0784, 0.6486)
Se (0.2701, 0.2701, 0.3525)
Se (0.3320, 0.3320, 0.0052)
Se (0.4199, 0.4199, 0.6921)
Se (0.5804, 0.5804, 0.3066)
Se (0.6682, 0.6682, 0.9933)
Se (0.7302, 0.7302, 0.6460)
Se (0.9219, 0.9219, 0.3498)

# Be3ReAu
Computed X-ray powder pattern, Cu Kα (weighted mean of Kα1 and Kα2). Input: a crystal structure in Alexandria, relaxed with GGA-PBE.
Intensities are scaled so that the largest is 1000.

The 6 most intense peaks (10 to 80 degrees two-theta), sorted by position:
- 2θ = 29.9°, d 2.984, rel. 1000
- 2θ = 42.9°, d 2.110, rel. 217
- 2θ = 53.2°, d 1.723, rel. 413
- 2θ = 62.2°, d 1.492, rel. 145
- 2θ = 70.6°, d 1.334, rel. 179
- 2θ = 78.5°, d 1.218, rel. 51

Structure:
Lattice parameters (Å, degrees): 4.2200 4.2200 4.2200 90.00 90.00 90.00
Element x y z (fractional)
Be (0.0000, 0.0000, 0.5000)
Be (0.0000, 0.5000, 0.0000)
Be (0.5000, 0.0000, 0.0000)
Re (0.0000, 0.0000, 0.0000)
Au (0.5000, 0.5000, 0.5000)

# Ti2V2C3
Computed X-ray powder pattern, Cu Kα (weighted mean of Kα1 and Kα2). Input: a crystal structure in Alexandria, relaxed with GGA-PBE.
Intensities are scaled so that the largest is 1000.

The 12 most intense peaks (10 to 80 degrees two-theta), sorted by position:
- 2θ = 36.3°, d 2.475, rel. 383
- 2θ = 36.7°, d 2.449, rel. 381
- 2θ = 37.0°, d 2.431, rel. 842
- 2θ = 41.7°, d 2.165, rel. 1000
- 2θ = 44.5°, d 2.035, rel. 440
- 2θ = 59.8°, d 1.546, rel. 110
- 2θ = 61.1°, d 1.516, rel. 153
- 2θ = 62.4°, d 1.488, rel. 251
- 2θ = 62.9°, d 1.477, rel. 253
- 2θ = 73.5°, d 1.289, rel. 94
- 2θ = 77.1°, d 1.238, rel. 167
- 2θ = 78.7°, d 1.216, rel. 134

Structure:
Lattice parameters (Å, degrees): 10.0880 3.0320 5.1380 90.00 103.84 90.00
Element x y z (fractional)
Ti (0.1198, 0.0000, 0.3684)
Ti (0.3802, 0.5000, 0.6316)
Ti (0.6198, 0.5000, 0.3684)
Ti (0.8802, 0.0000, 0.6316)
V (0.1420, 0.5000, 0.8530)
V (0.3580, 0.0000, 0.1470)
V (0.6420, 0.0000, 0.8530)
V (0.8580, 0.5000, 0.1470)
C (0.0000, 0.5000, 0.5000)
C (0.2474, 0.5000, 0.2439)
C (0.2526, 0.0000, 0.7561)
C (0.5000, 0.0000, 0.5000)
C (0.7474, 0.0000, 0.2439)
C (0.7526, 0.5000, 0.7561)

# LaHo7Mg4
Computed X-ray powder pattern, Cu Kα (weighted mean of Kα1 and Kα2). Input: a crystal structure in Alexandria, relaxed with GGA-PBE.
Intensities are scaled so that the largest is 1000.

The 12 most intense peaks (10 to 80 degrees two-theta), sorted by position:
- 2θ = 18.7°, d 4.751, rel. 247
- 2θ = 22.1°, d 4.018, rel. 955
- 2θ = 27.7°, d 3.215, rel. 705
- 2θ = 28.6°, d 3.126, rel. 629
- 2θ = 28.7°, d 3.110, rel. 620
- 2θ = 29.4°, d 3.038, rel. 713
- 2θ = 31.2°, d 2.866, rel. 1000
- 2θ = 34.0°, d 2.634, rel. 816
- 2θ = 37.5°, d 2.399, rel. 358
- 2θ = 42.2°, d 2.140, rel. 460
- 2θ = 42.8°, d 2.112, rel. 361
- 2θ = 57.3°, d 1.607, rel. 238

Structure:
Lattice parameters (Å, degrees): 7.3147 7.3147 11.3992 120.55 120.55 46.14
Element x y z (fractional)
La (0.0000, 0.0000, 0.0000)
Ho (0.0562, 0.0562, 0.3851)
Ho (0.2205, 0.2205, 0.8808)
Ho (0.3310, 0.3310, 0.3939)
Ho (0.5000, 0.5000, 0.0000)
Ho (0.6690, 0.6690, 0.6061)
Ho (0.7795, 0.7795, 0.1192)
Ho (0.9438, 0.9438, 0.6149)
Mg (0.3125, 0.3125, 0.6674)
Mg (0.4332, 0.4332, 0.2153)
Mg (0.5668, 0.5668, 0.7847)
Mg (0.6875, 0.6875, 0.3326)

# Sm4Dy5Tl2
Computed X-ray powder pattern, Cu Kα (weighted mean of Kα1 and Kα2). Input: a crystal structure in Alexandria, relaxed with GGA-PBE.
Intensities are scaled so that the largest is 1000.

The 12 most intense peaks (10 to 80 degrees two-theta), sorted by position:
- 2θ = 19.6°, d 4.523, rel. 96
- 2θ = 19.9°, d 4.462, rel. 92
- 2θ = 31.4°, d 2.848, rel. 1000
- 2θ = 32.9°, d 2.719, rel. 262
- 2θ = 34.2°, d 2.623, rel. 987
- 2θ = 47.1°, d 1.929, rel. 328
- 2θ = 54.1°, d 1.696, rel. 105
- 2θ = 59.5°, d 1.554, rel. 328
- 2θ = 60.4°, d 1.532, rel. 92
- 2θ = 61.2°, d 1.514, rel. 186
- 2θ = 63.7°, d 1.462, rel. 196
- 2θ = 72.0°, d 1.312, rel. 115

Structure:
Lattice parameters (Å, degrees): 16.1294 16.1294 16.1294 18.72 18.72 18.72
Element x y z (fractional)
Sm (0.0735, 0.0735, 0.0735)
Sm (0.2247, 0.2247, 0.2247)
Sm (0.7753, 0.7753, 0.7753)
Sm (0.9265, 0.9265, 0.9265)
Dy (0.0000, 0.0000, 0.0000)
Dy (0.1484, 0.1484, 0.1484)
Dy (0.3017, 0.3017, 0.3017)
Dy (0.6983, 0.6983, 0.6983)
Dy (0.8516, 0.8516, 0.8516)
Tl (0.3777, 0.3777, 0.3777)
Tl (0.6223, 0.6223, 0.6223)